Simulated powder diffraction line list
Compound: CrH10SO9
Radiation: Cu Kα (λ = 1.5418 Å)
Structure: a crystal structure in the Materials Project, relaxed with GGA+U
Intensities are scaled so that the largest is 100.

Largest 12 diffraction maxima, by angle, 5° ≤ 2θ ≤ 70°:
(0 1 0), 2θ 15.18, I 33
(0 1 1), 2θ 15.82, I 36
(1 1 1), 2θ 18.17, I 100
(1 0 2), 2θ 21.81, I 54
(1 0 -2), 2θ 23.41, I 69
(1 -1 1), 2θ 26.72, I 44
(-1 1 2), 2θ 28.82, I 22
(1 2 2), 2θ 30.64, I 53
(0 1 -3), 2θ 31.67, I 60
(2 1 -1), 2θ 32.75, I 29
(2 0 -2), 2θ 36.43, I 25
(1 -2 2), 2θ 44.17, I 26

Structural model:
Unit cell a=6.088 b=6.277 c=11.068 alpha=77.08 beta=82.18 gamma=71.37
Fractional coordinates of all 42 atoms:
Cr (0.000, 0.000, 0.000)
Cr (0.000, 0.500, 0.500)
H (0.076, 0.184, 0.701)
H (0.111, 0.313, 0.104)
H (0.168, 0.632, 0.883)
H (0.234, 0.784, 0.516)
H (0.256, 0.608, 0.646)
H (0.313, 0.903, 0.304)
H (0.319, 0.100, 0.369)
H (0.331, 0.152, 0.628)
H (0.349, 0.180, 0.872)
H (0.441, 0.900, 0.889)
H (0.559, 0.100, 0.111)
H (0.651, 0.820, 0.128)
H (0.669, 0.848, 0.372)
H (0.681, 0.900, 0.631)
H (0.687, 0.097, 0.696)
H (0.744, 0.392, 0.354)
H (0.766, 0.216, 0.484)
H (0.832, 0.368, 0.117)
H (0.889, 0.687, 0.896)
H (0.924, 0.816, 0.299)
S (0.371, 0.511, 0.214)
S (0.629, 0.489, 0.786)
O (0.021, 0.737, 0.912)
O (0.154, 0.687, 0.577)
O (0.160, 0.198, 0.619)
O (0.200, 0.745, 0.187)
O (0.307, 0.036, 0.901)
O (0.324, 0.400, 0.345)
O (0.357, 0.367, 0.127)
O (0.369, 0.931, 0.376)
O (0.388, 0.463, 0.800)
O (0.612, 0.537, 0.200)
O (0.631, 0.069, 0.624)
O (0.643, 0.633, 0.873)
O (0.676, 0.600, 0.655)
O (0.693, 0.964, 0.099)
O (0.800, 0.255, 0.813)
O (0.840, 0.802, 0.381)
O (0.846, 0.313, 0.423)
O (0.979, 0.263, 0.088)